No. 1
Starting from DFT lattice parameters and positions (PBE), the powder XRD pattern of Tl2Cd2I7 was calculated for Cu Ka.

Cell and atoms:
```
Tl2Cd2I7
1.0
5.4390 -6.7887 0.0000
5.4390 6.7887 0.0000
-1.0988 0.0000 7.4692
Tl Cd I
2 2 7
Direct
0.2026 0.7974 0.0000 Tl
0.7974 0.2026 0.0000 Tl
0.2491 0.2491 0.5811 Cd
0.7509 0.7509 0.4189 Cd
0.0672 0.4228 0.7724 I
0.0941 0.0941 0.2487 I
0.4228 0.0672 0.7724 I
0.5000 0.5000 0.5000 I
0.5772 0.9328 0.2276 I
0.9059 0.9059 0.7513 I
0.9328 0.5772 0.2276 I
```

Top 8 peaks for 2θ from 10° to 80°, by angle:
- 16.73°, rel. 44
- 17.65°, rel. 100
- 18.87°, rel. 32
- 25.03°, rel. 45
- 26.77°, rel. 51
- 33.08°, rel. 41
- 39.87°, rel. 35
- 42.43°, rel. 35

No. 2
Starting from DFT lattice parameters and positions (PBE), the powder XRD pattern of Ba3In2Rh was calculated for Cu Ka.

Cell and atoms:
```
Ba3In2Rh
1.0
5.6697 -5.1109 0.0000
5.6697 5.1109 0.0000
-2.5290 0.0000 8.0757
Ba In Rh
6 4 2
Direct
0.0815 0.9185 0.7500 Ba
0.2516 0.4252 0.0117 Ba
0.4252 0.2516 0.5117 Ba
0.5748 0.7484 0.4883 Ba
0.7484 0.5748 0.9883 Ba
0.9185 0.0815 0.2500 Ba
0.0573 0.5716 0.3792 In
0.4284 0.9427 0.1208 In
0.5716 0.0573 0.8792 In
0.9427 0.4284 0.6208 In
0.2197 0.7803 0.2500 Rh
0.7803 0.2197 0.7500 Rh
```

Top 8 peaks for 2θ from 10° to 80°, by angle:
- 22.80°, rel. 23
- 24.23°, rel. 37
- 26.20°, rel. 43
- 27.21°, rel. 27
- 30.56°, rel. 100
- 31.34°, rel. 36
- 33.93°, rel. 32
- 48.22°, rel. 30